For Cd13Sb2, the GGA-PBE geometry in Alexandria gives the computed X-ray diffraction stick pattern in this record (λ = 1.5418 Å (Cu Kα)).
Neutral-atom scattering factors, no anomalous dispersion.

The 10 most intense peaks (10° ≤ 2θ ≤ 80°), by angle:
10.82 deg, I = 56
13.25 deg, I = 100
25.91 deg, I = 62
34.36 deg, I = 85
36.43 deg, I = 54
37.26 deg, I = 89
38.91 deg, I = 68
39.20 deg, I = 87
40.50 deg, I = 59
45.24 deg, I = 54

Structural model:
```
data_Cd13Sb2
_chemical_formula_sum 'Cd39 Sb6'
_cell_length_a 8.0193
_cell_length_b 8.0193
_cell_length_c 24.5294
_cell_angle_alpha 90.00
_cell_angle_beta 90.00
_cell_angle_gamma 120.00
_symmetry_space_group_name_H-M 'R -3 m'
_symmetry_Int_Tables_number 166
_symmetry_space_group_name_Hall '-R 3 2"'
loop_
_atom_site_label
_atom_site_type_symbol
_atom_site_fract_x
_atom_site_fract_y
_atom_site_fract_z
Cd1 Cd 0.0000 0.0000 0.0000
Cd2 Cd 0.0496 0.5248 0.5702
Cd3 Cd 0.0913 0.5456 0.3093
Sb1 Sb 0.0000 0.0000 0.1897
```

For CsScPb, the GGA-PBE geometry in Alexandria gives the computed X-ray diffraction stick pattern in this record (λ = 1.5418 Å (Cu Kα)).
Neutral-atom scattering factors, no anomalous dispersion.

The 10 most intense peaks (10° ≤ 2θ ≤ 80°), by angle:
20.48 deg, I = 100
21.25 deg, I = 33
21.93 deg, I = 97
26.18 deg, I = 37
28.93 deg, I = 83
31.13 deg, I = 35
33.76 deg, I = 83
35.04 deg, I = 33
36.41 deg, I = 47
52.53 deg, I = 37

Structural model:
```
data_CsScPb
_chemical_formula_sum 'Cs4 Sc4 Pb4'
_cell_length_a 9.823
_cell_length_b 4.635
_cell_length_c 12.940
_cell_angle_alpha 90.00
_cell_angle_beta 98.44
_cell_angle_gamma 90.00
_symmetry_space_group_name_H-M 'C 1 2/m 1'
_symmetry_Int_Tables_number 12
_symmetry_space_group_name_Hall '-C 2y'
loop_
_atom_site_label
_atom_site_type_symbol
_atom_site_fract_x
_atom_site_fract_y
_atom_site_fract_z
Cs1 Cs 0.169 0.000 0.187
Sc1 Sc 0.148 0.000 0.532
Pb1 Pb 0.026 0.500 0.384
```